No. 1
This entry pairs a crystal structure of Li4MnCo2O7 with its simulated XRD peak list. Radiation: CuKα. Structure: a cell relaxed with GGA+U.
Kinematic intensities with the Lorentz-polarization factor, no thermal factor.

Cell and atoms:
Lattice parameters (Å, degrees): 4.9787 5.1015 10.6173 85.70 76.67 71.66
Space group P1 (No. 1)
Symmetry-distinct sites (fractional):
Li1 0.0000 0.0000 0.0000 x1
Li2 0.0612 0.4985 0.8712 x1
Li3 0.2158 0.4965 0.5723 x1
Li4 0.3630 0.4976 0.2811 x1
Li5 0.5062 0.4984 0.9910 x1
Li6 0.6408 0.4991 0.7188 x1
Li7 0.7926 0.4954 0.4250 x1
Li8 0.9377 0.4990 0.1283 x1
Mn1 0.7187 0.9956 0.5688 x1
Mn2 0.8616 0.9966 0.2841 x1
Co1 0.1480 0.9915 0.7208 x1
Co2 0.2910 0.9949 0.4270 x1
Co3 0.4347 0.9985 0.1354 x1
Co4 0.5739 0.0068 0.8627 x1
O1 0.0292 0.7789 0.4284 x1
O2 0.1099 0.2158 0.2943 x1
O3 0.1649 0.7733 0.1589 x1
O4 0.2732 0.2411 0.0004 x1
O5 0.3218 0.7720 0.8452 x1
O6 0.4190 0.2258 0.6973 x1
O7 0.4683 0.7767 0.5609 x1
O8 0.5506 0.2126 0.4277 x1
O9 0.6027 0.7772 0.2941 x1
O10 0.6804 0.2219 0.1591 x1
O11 0.7246 0.7579 0.0000 x1
O12 0.8226 0.2320 0.8472 x1
O13 0.8852 0.7685 0.6991 x1
O14 0.9822 0.2092 0.5628 x1

Top 10 peaks for 15° ≤ 2θ ≤ 90°, by angle:
2θ (°), Rel. int., (hkl)
18.32, 100, 0 1 0
35.79, 13, 1 0 -3
35.95, 13, 1 0 4
36.70, 13, 2 1 1
37.59, 7, 1 1 -3
43.26, 28, -1 1 3
43.47, 27, 1 -1 4
44.35, 26, 2 2 1
47.70, 9, 1 2 4
63.05, 15, 2 -2 1


No. 2
This entry pairs a crystal structure of Li4MnCo2O7 with its simulated XRD peak list. Radiation: CuKα. Structure: a cell relaxed with GGA+U.
Kinematic intensities with the Lorentz-polarization factor, no thermal factor.

Cell and atoms:
Lattice parameters (Å, degrees): 5.0668 5.0856 10.0551 101.16 99.28 98.85
Space group P1 (No. 1)
Symmetry-distinct sites (fractional):
Li1 0.0000 0.0000 0.0000 x1
Li2 0.0033 0.9934 0.4981 x1
Li3 0.1523 0.2760 0.7980 x1
Li4 0.2752 0.5773 0.0653 x1
Li5 0.4260 0.8577 0.3567 x1
Li6 0.5789 0.1394 0.6474 x1
Li7 0.7221 0.4258 0.9342 x1
Li8 0.8580 0.7146 0.2111 x1
Mn1 0.5714 0.1416 0.1379 x1
Mn2 0.8665 0.7133 0.7219 x1
Co1 0.1405 0.2826 0.2792 x1
Co2 0.2931 0.5573 0.5693 x1
Co3 0.4355 0.8544 0.8602 x1
Co4 0.7192 0.4266 0.4285 x1
O1 0.0828 0.6262 0.3954 x1
O2 0.0860 0.6498 0.8799 x1
O3 0.2135 0.8965 0.6877 x1
O4 0.2343 0.9608 0.1843 x1
O5 0.3554 0.2265 0.4720 x1
O6 0.3784 0.1924 0.9696 x1
O7 0.5103 0.4782 0.2580 x1
O8 0.5270 0.5258 0.7548 x1
O9 0.6241 0.8096 0.0343 x1
O10 0.6606 0.7602 0.5439 x1
O11 0.7751 0.0337 0.8170 x1
O12 0.7761 0.0909 0.3151 x1
O13 0.9095 0.3480 0.1140 x1
O14 0.9231 0.3761 0.6005 x1

Top 10 peaks for 15° ≤ 2θ ≤ 90°, by angle:
2θ (°), Rel. int., (hkl)
18.38, 100, 0 1 -1
35.93, 15, 2 0 -1
36.23, 12, 1 0 3
36.72, 12, -1 1 3
43.41, 28, 2 1 -2
43.77, 27, 1 -1 4
44.42, 26, -1 2 2
47.94, 12, 1 1 -5
63.18, 7, 1 2 -6
63.41, 14, 1 3 0


No. 3
This entry pairs a crystal structure of Li3Mn2Co2O8 with its simulated XRD peak list. Radiation: CuKα. Structure: a cell relaxed with GGA+U.
Kinematic intensities with the Lorentz-polarization factor, no thermal factor.

Cell and atoms:
Lattice parameters (Å, degrees): 5.7590 5.7828 5.8990 90.21 118.80 119.81
Space group P-1 (No. 2)
Symmetry-distinct sites (fractional):
Li1 0.0000 0.0000 0.0000 x1
Li2 0.0000 0.0000 0.5000 x1
Li3 0.5000 0.5000 0.0000 x1
Mn1 0.5000 0.0000 0.5000 x1
Mn2 0.5000 0.5000 0.5000 x1
Co1 0.0000 0.5000 0.0000 x1
Co2 0.0000 0.5000 0.5000 x1
O1 0.0313 0.7549 0.2806 x2
O2 0.0396 0.2847 0.2820 x2
O3 0.4755 0.7348 0.7103 x2
O4 0.4972 0.2516 0.7171 x2

Top 10 peaks for 15° ≤ 2θ ≤ 90°, by angle:
2θ (°), Rel. int., (hkl)
18.11, 70, 0 0 1
18.70, 100, 0 1 0
18.81, 48, 1 0 -1
35.49, 16, 0 1 -2
36.07, 22, 2 -1 0
43.63, 48, 2 0 0
43.78, 48, 0 2 -2
43.95, 47, -2 2 2
62.60, 26, 2 -2 2
64.42, 25, 2 -4 0


No. 4
This entry pairs a crystal structure of Li7Mn2Co3O12 with its simulated XRD peak list. Radiation: CuKα. Structure: a cell relaxed with GGA+U.
Kinematic intensities with the Lorentz-polarization factor, no thermal factor.

Cell and atoms:
Lattice parameters (Å, degrees): 15.1895 2.9194 10.2129 90.00 108.43 90.00
Space group Cm (No. 8)
Symmetry-distinct sites (fractional):
Li1 0.0000 0.0000 0.0000 x2
Li2 0.0021 0.0000 0.5094 x2
Li3 0.1626 0.5000 0.0020 x2
Li4 0.1685 0.5000 0.5075 x2
Li5 0.3304 0.0000 0.5156 x2
Li6 0.3326 0.5000 0.7507 x2
Li7 0.3368 0.0000 0.9979 x2
Mn1 0.1699 0.0000 0.7544 x2
Mn2 0.3339 0.5000 0.2536 x2
Co1 0.0068 0.5000 0.2524 x2
Co2 0.1643 0.0000 0.2590 x2
Co3 0.4927 0.0000 0.7598 x2
O1 0.0757 0.0000 0.3774 x2
O2 0.0821 0.5000 0.1349 x2
O3 0.0833 0.0000 0.8658 x2
O4 0.0890 0.5000 0.6501 x2
O5 0.2393 0.5000 0.8664 x2
O6 0.2414 0.0000 0.6375 x2
O7 0.2528 0.5000 0.3673 x2
O8 0.2611 0.0000 0.1433 x2
O9 0.4078 0.0000 0.3621 x2
O10 0.4165 0.5000 0.1431 x2
O11 0.4250 0.0000 0.8733 x2
O12 0.4264 0.5000 0.6380 x2

Top 10 peaks for 15° ≤ 2θ ≤ 90°, by angle:
2θ (°), Rel. int., (hkl)
18.31, 100, 0 0 2
36.00, 26, 3 1 0
36.11, 13, 6 0 -2
43.44, 59, 3 1 2
43.90, 27, 6 0 -4
47.85, 8, 3 1 -4
57.19, 10, 3 1 4
62.48, 8, 6 0 4
63.25, 15, 3 1 -6
63.72, 22, 0 2 0


No. 5
This entry pairs a crystal structure of Li4MnCo2O7 with its simulated XRD peak list. Radiation: CuKα. Structure: a cell relaxed with GGA+U.
Kinematic intensities with the Lorentz-polarization factor, no thermal factor.

Cell and atoms:
Lattice parameters (Å, degrees): 5.2329 2.8766 34.5771 90.00 93.59 90.00
Space group Cm (No. 8)
Symmetry-distinct sites (fractional):
Li1 0.0000 0.0000 0.0000 x2
Li2 0.0055 0.0000 0.5020 x2
Li3 0.0761 0.5000 0.8590 x2
Li4 0.1497 0.0000 0.7166 x2
Li5 0.2120 0.5000 0.5729 x2
Li6 0.2982 0.0000 0.4318 x2
Li7 0.3658 0.5000 0.2897 x2
Li8 0.4340 0.0000 0.1445 x2
Mn1 0.1493 0.0000 0.2168 x2
Mn2 0.2170 0.5000 0.0726 x2
Co1 0.0806 0.5000 0.3584 x2
Co2 0.2905 0.0000 0.9301 x2
Co3 0.3635 0.5000 0.7883 x2
Co4 0.4341 0.0000 0.6461 x2
O1 0.0089 0.5000 0.7560 x2
O2 0.0299 0.5000 0.2502 x2
O3 0.0802 0.0000 0.6149 x2
O4 0.0999 0.0000 0.1062 x2
O5 0.1420 0.5000 0.9635 x2
O6 0.1463 0.5000 0.4643 x2
O7 0.2074 0.0000 0.3267 x2
O8 0.2188 0.0000 0.8202 x2
O9 0.2678 0.5000 0.1833 x2
O10 0.2913 0.5000 0.6785 x2
O11 0.3371 0.0000 0.0396 x2
O12 0.3649 0.0000 0.5392 x2
O13 0.4405 0.5000 0.8976 x2
O14 0.4446 0.5000 0.3879 x2

Top 10 peaks for 15° ≤ 2θ ≤ 90°, by angle:
2θ (°), Rel. int., (hkl)
17.99, 100, 0 0 7
34.61, 18, 2 0 1
36.26, 25, 1 1 -3
41.53, 33, 2 0 8
43.84, 55, 1 1 -10
46.93, 11, 1 1 11
57.43, 9, 1 1 -17
61.67, 17, 1 1 18
62.28, 17, 3 1 -2
64.79, 11, 0 2 0


No. 6
This entry pairs a crystal structure of Li5MnCo2O8 with its simulated XRD peak list. Radiation: CuKα. Structure: a cell relaxed with GGA+U.
Kinematic intensities with the Lorentz-polarization factor, no thermal factor.

Cell and atoms:
Lattice parameters (Å, degrees): 2.9359 2.9359 59.8357 90.00 90.00 120.00
Space group R3m (No. 160, hexagonal axes)
Symmetry-distinct sites (fractional):
Li1 0.0000 0.0000 0.0000 x3
Li2 0.0000 0.0000 0.1256 x3
Li3 0.0000 0.0000 0.2534 x3
Li4 0.0000 0.0000 0.4973 x3
Li5 0.0000 0.0000 0.7522 x3
Mn1 0.0000 0.0000 0.8766 x3
Co1 0.0000 0.0000 0.3746 x3
Co2 0.0000 0.0000 0.6259 x3
O1 0.0000 0.0000 0.0579 x3
O2 0.0000 0.0000 0.1926 x3
O3 0.0000 0.0000 0.3109 x3
O4 0.0000 0.0000 0.4368 x3
O5 0.0000 0.0000 0.5619 x3
O6 0.0000 0.0000 0.6897 x3
O7 0.0000 0.0000 0.8140 x3
O8 0.0000 0.0000 0.9404 x3

Top 10 peaks for 15° ≤ 2θ ≤ 90°, by angle:
2θ (°), Rel. int., (hkl)
17.79, 100, 0 0 12
22.29, 10, 0 0 15
35.82, 37, 1 0 4
43.02, 91, 1 0 16
46.90, 12, 0 1 20
56.23, 14, 1 0 28
61.56, 24, 0 1 32
63.36, 25, 1 1 0
66.39, 13, 1 1 12
79.66, 11, 0 2 16


No. 7
This entry pairs a crystal structure of Li3MnCoO5 with its simulated XRD peak list. Radiation: CuKα. Structure: a cell relaxed with GGA+U.
Kinematic intensities with the Lorentz-polarization factor, no thermal factor.

Cell and atoms:
Lattice parameters (Å, degrees): 5.0187 5.8921 6.6035 103.50 97.43 106.85
Space group P1 (No. 1)
Symmetry-distinct sites (fractional):
Li1 0.0000 0.0000 0.0000 x1
Li2 0.0033 0.4947 0.0029 x1
Li3 0.2051 0.3944 0.3968 x1
Li4 0.4001 0.7951 0.8069 x1
Li5 0.6086 0.1997 0.1976 x1
Li6 0.8111 0.5941 0.6076 x1
Mn1 0.2052 0.8942 0.3987 x1
Mn2 0.6027 0.6924 0.1974 x1
Co1 0.4171 0.2991 0.8127 x1
Co2 0.8199 0.1153 0.6144 x1
O1 0.1023 0.4213 0.6961 x1
O2 0.1067 0.9464 0.6819 x1
O3 0.3196 0.8434 0.1280 x1
O4 0.3304 0.3695 0.1060 x1
O5 0.4926 0.2232 0.5036 x1
O6 0.5010 0.7616 0.4825 x1
O7 0.6873 0.6472 0.9205 x1
O8 0.6889 0.1479 0.8879 x1
O9 0.9045 0.5770 0.3053 x1
O10 0.9096 0.0213 0.3028 x1

Top 10 peaks for 15° ≤ 2θ ≤ 90°, by angle:
2θ (°), Rel. int., (hkl)
18.35, 100, 0 1 -1
35.92, 13, -1 1 2
36.19, 13, 1 1 1
36.32, 12, 2 -1 0
43.48, 30, 1 0 -3
43.84, 58, 2 -2 1
47.67, 8, 1 -1 3
63.12, 8, 1 -4 1
63.39, 8, 2 2 -3
63.89, 8, -3 2 2


No. 8
This entry pairs a crystal structure of Li5Mn2CoO8 with its simulated XRD peak list. Radiation: CuKα. Structure: a cell relaxed with GGA+U.
Kinematic intensities with the Lorentz-polarization factor, no thermal factor.

Cell and atoms:
Lattice parameters (Å, degrees): 12.6597 2.9195 9.9435 90.00 128.66 90.00
Space group Cm (No. 8)
Symmetry-distinct sites (fractional):
Li1 0.0000 0.0000 0.0000 x2
Li2 0.0000 0.5000 0.4679 x2
Li3 0.2519 0.0000 0.7356 x2
Li4 0.2539 0.5000 0.2257 x2
Li5 0.3767 0.0000 0.1026 x2
Mn1 0.1344 0.5000 0.8619 x2
Mn2 0.3728 0.5000 0.6042 x2
Co1 0.1047 0.0000 0.3366 x2
O1 0.0625 0.0000 0.6866 x2
O2 0.0740 0.5000 0.1799 x2
O3 0.1761 0.0000 0.0149 x2
O4 0.1988 0.5000 0.5385 x2
O5 0.2976 0.5000 0.9094 x2
O6 0.3246 0.0000 0.4466 x2
O7 0.4361 0.0000 0.7724 x2
O8 0.4468 0.5000 0.3004 x2

Top 10 peaks for 15° ≤ 2θ ≤ 90°, by angle:
2θ (°), Rel. int., (hkl)
18.22, 100, 2 0 -2
26.76, 12, 2 0 1
31.98, 11, 1 1 0
35.97, 23, 1 1 1
36.35, 12, 4 0 0
43.20, 62, 1 1 -3
44.32, 27, 6 0 -2
56.74, 12, 3 1 -5
63.33, 15, 7 1 -5
63.90, 14, 5 1 1


No. 9
This entry pairs a crystal structure of Li7Mn2Co3O12 with its simulated XRD peak list. Radiation: CuKα. Structure: a cell relaxed with GGA+U.
Kinematic intensities with the Lorentz-polarization factor, no thermal factor.

Cell and atoms:
Lattice parameters (Å, degrees): 5.8853 5.8957 7.6777 100.56 100.69 119.71
Space group P1 (No. 1)
Symmetry-distinct sites (fractional):
Li1 0.0000 0.0000 0.0000 x1
Li2 0.0031 0.5005 0.9982 x1
Li3 0.1735 0.5038 0.6689 x1
Li4 0.3251 0.4857 0.3251 x1
Li5 0.5021 0.4975 0.0014 x1
Li6 0.6823 0.5148 0.6777 x1
Li7 0.8348 0.4924 0.3313 x1
Mn1 0.6766 0.0062 0.6691 x1
Mn2 0.8355 0.9945 0.3301 x1
Co1 0.1700 0.9989 0.6805 x1
Co2 0.3256 0.9961 0.3248 x1
Co3 0.5084 0.9997 0.0013 x1
O1 0.0606 0.2326 0.8191 x1
O2 0.1010 0.7691 0.8264 x1
O3 0.2200 0.2166 0.4902 x1
O4 0.2873 0.7858 0.5056 x1
O5 0.4222 0.2220 0.1686 x1
O6 0.4437 0.7636 0.1730 x1
O7 0.5855 0.7775 0.8269 x1
O8 0.5887 0.2364 0.8233 x1
O9 0.7471 0.2192 0.4957 x1
O10 0.7561 0.7771 0.5072 x1
O11 0.9035 0.2248 0.1776 x1
O12 0.9190 0.7633 0.1847 x1

Top 10 peaks for 15° ≤ 2θ ≤ 90°, by angle:
2θ (°), Rel. int., (hkl)
18.31, 100, 0 1 0
35.75, 14, 2 -1 1
36.01, 14, -2 1 2
36.28, 12, 0 1 -3
43.21, 28, 2 0 1
43.61, 28, -2 2 2
43.88, 27, 0 2 -3
47.67, 9, 0 1 3
63.08, 8, 2 -4 1
64.10, 8, 2 0 -5


No. 10
This entry pairs a crystal structure of Li7Mn2Co3O12 with its simulated XRD peak list. Radiation: CuKα. Structure: a cell relaxed with GGA+U.
Kinematic intensities with the Lorentz-polarization factor, no thermal factor.

Cell and atoms:
Lattice parameters (Å, degrees): 8.1530 2.9141 9.7379 90.00 113.41 90.00
Space group Pm (No. 6)
Symmetry-distinct sites (fractional):
Li1 0.0000 0.0000 0.0000 x1
Li2 0.0014 0.5000 0.4983 x1
Li3 0.1596 0.0000 0.3284 x1
Li4 0.3183 0.5000 0.1597 x1
Li5 0.5116 0.0000 0.0093 x1
Li6 0.6959 0.5000 0.8583 x1
Li7 0.8420 0.0000 0.6785 x1
Mn1 0.1650 0.5000 0.8373 x1
Mn2 0.5036 0.5000 0.5072 x1
Co1 0.3386 0.0000 0.6733 x1
Co2 0.6780 0.0000 0.3278 x1
Co3 0.8518 0.5000 0.1591 x1
O1 0.0811 0.5000 0.1780 x1
O2 0.1096 0.0000 0.6859 x1
O3 0.2450 0.0000 0.9794 x1
O4 0.2742 0.5000 0.5266 x1
O5 0.4016 0.5000 0.8160 x1
O6 0.4312 0.0000 0.3630 x1
O7 0.5675 0.0000 0.6549 x1
O8 0.5846 0.5000 0.1785 x1
O9 0.7299 0.5000 0.4963 x1
O10 0.7554 0.0000 0.0119 x1
O11 0.9095 0.0000 0.3397 x1
O12 0.9387 0.5000 0.8313 x1

Top 10 peaks for 15° ≤ 2θ ≤ 90°, by angle:
2θ (°), Rel. int., (hkl)
18.24, 100, 1 0 1
36.15, 25, 1 1 -2
36.67, 12, 3 0 -3
43.44, 56, 0 1 3
44.46, 25, 4 0 -2
48.02, 8, 3 1 0
57.03, 10, 1 1 4
63.33, 15, 4 1 1
63.89, 8, 0 2 0
64.49, 13, 4 1 -5


Please write out number 3 again, unchanged.
This entry pairs a crystal structure of Li3Mn2Co2O8 with its simulated XRD peak list. Radiation: CuKα. Structure: a cell relaxed with GGA+U.
Kinematic intensities with the Lorentz-polarization factor, no thermal factor.

Cell and atoms:
Lattice parameters (Å, degrees): 5.7590 5.7828 5.8990 90.21 118.80 119.81
Space group P-1 (No. 2)
Symmetry-distinct sites (fractional):
Li1 0.0000 0.0000 0.0000 x1
Li2 0.0000 0.0000 0.5000 x1
Li3 0.5000 0.5000 0.0000 x1
Mn1 0.5000 0.0000 0.5000 x1
Mn2 0.5000 0.5000 0.5000 x1
Co1 0.0000 0.5000 0.0000 x1
Co2 0.0000 0.5000 0.5000 x1
O1 0.0313 0.7549 0.2806 x2
O2 0.0396 0.2847 0.2820 x2
O3 0.4755 0.7348 0.7103 x2
O4 0.4972 0.2516 0.7171 x2

Top 10 peaks for 15° ≤ 2θ ≤ 90°, by angle:
2θ (°), Rel. int., (hkl)
18.11, 70, 0 0 1
18.70, 100, 0 1 0
18.81, 48, 1 0 -1
35.49, 16, 0 1 -2
36.07, 22, 2 -1 0
43.63, 48, 2 0 0
43.78, 48, 0 2 -2
43.95, 47, -2 2 2
62.60, 26, 2 -2 2
64.42, 25, 2 -4 0


Number 10 is which compound? Li7Mn2Co3O12